For Y2HfS5, DFT lattice parameters and positions (PBE) gives the simulated powder XRD pattern in this record (Cu Kα (weighted mean of Kα1 and Kα2)).
Kinematic intensities with the Lorentz-polarization factor, no thermal factor.

Most intense lines, 2θ from 5° to 70°, by intensity:
d 3.407, I = 100, (3 0 1)
d 3.278, I = 87, (1 2 1)
d 2.410, I = 85, (2 2 2)
d 3.219, I = 75, (2 2 0)
d 2.316, I = 61, (4 2 0)
d 1.916, I = 57, (5 2 1)

Cell and atoms:
Cell: 11.5707 7.7473 7.2688 Å, 90.00 90.00 90.00°
Space group Pnma (No. 62)
Inequivalent atoms, fractional coordinates:
Y 0.1789 0.0028 0.0217 [8 per cell]
Hf 0.0059 0.7500 0.5757 [4 per cell]
S 0.0037 0.7500 0.9457 [4 per cell]
S 0.0934 0.0364 0.6601 [8 per cell]
S 0.1805 0.7500 0.3322 [4 per cell]
S 0.2067 0.2500 0.3105 [4 per cell]


For Na3TiInSi2SO12, DFT lattice parameters and positions (PBE) gives the simulated powder XRD pattern in this record (Cu Kα (weighted mean of Kα1 and Kα2)).
Kinematic intensities with the Lorentz-polarization factor, no thermal factor.

Most intense lines, 2θ from 5° to 70°, by intensity:
d 4.564, I = 100, (1 1 1)
d 6.488, I = 78, (1 1 -1)
d 2.632, I = 76, (1 3 1)
d 2.885, I = 69, (4 2 -2)
d 4.618, I = 65, (2 0 -2)
d 4.538, I = 63, (3 1 -1)

Cell and atoms:
Cell: 15.7007 9.1153 9.2371 Å, 90.00 125.54 90.00°
Space group Cc (No. 9)
Inequivalent atoms, fractional coordinates:
Na 0.0000 0.0667 0.0000 [4 per cell]
Na 0.3712 0.0679 0.7276 [4 per cell]
Na 0.4412 0.2396 0.1284 [4 per cell]
Ti 0.2740 0.2285 0.2417 [4 per cell]
In 0.0801 0.2575 0.4658 [4 per cell]
Si 0.0284 0.3934 0.0689 [4 per cell]
Si 0.1753 0.0455 0.8601 [4 per cell]
S 0.3271 0.4043 0.6525 [4 per cell]
O 0.0136 0.4323 0.5222 [4 per cell]
O 0.0165 0.3710 0.2293 [4 per cell]
O 0.0977 0.1447 0.6859 [4 per cell]
O 0.1016 0.0514 0.3910 [4 per cell]
O 0.1412 0.3127 0.1255 [4 per cell]
O 0.2359 0.3356 0.6331 [4 per cell]
O 0.2523 0.0638 0.3337 [4 per cell]
O 0.2619 0.1386 0.0465 [4 per cell]
O 0.3305 0.4331 0.1783 [4 per cell]
O 0.3316 0.3727 0.5004 [4 per cell]
O 0.4166 0.3392 0.8235 [4 per cell]
O 0.4314 0.1959 0.3858 [4 per cell]


For K2MoCl6, DFT lattice parameters and positions (PBE) gives the simulated powder XRD pattern in this record (Cu Kα (weighted mean of Kα1 and Kα2)).
Kinematic intensities with the Lorentz-polarization factor, no thermal factor.

Most intense lines, 2θ from 5° to 70°, by intensity:
d 2.508, I = 100, (4 0 0)
d 5.793, I = 96, (1 1 1)
d 1.774, I = 62, (4 4 0)
d 2.896, I = 53, (2 2 2)
d 3.547, I = 40, (2 2 0)
d 3.025, I = 39, (3 1 1)

Cell and atoms:
Cell: 10.0334 10.0334 10.0334 Å, 90.00 90.00 90.00°
Space group Fm-3m (No. 225)
Inequivalent atoms, fractional coordinates:
K 0.2500 0.2500 0.2500 [8 per cell]
Mo 0.0000 0.0000 0.0000 [4 per cell]
Cl 0.0000 0.0000 0.2390 [24 per cell]


For CeZrF7, DFT lattice parameters and positions (PBE) gives the simulated powder XRD pattern in this record (Cu Kα (weighted mean of Kα1 and Kα2)).
Kinematic intensities with the Lorentz-polarization factor, no thermal factor.

Most intense lines, 2θ from 5° to 70°, by intensity:
d 4.284, I = 100, (1 1 0)
d 4.183, I = 36, (0 0 2)
d 3.241, I = 27, (1 1 -2)
d 3.603, I = 20, (1 1 1)
d 1.996, I = 19, (3 1 -1)
d 2.153, I = 16, (2 2 -1)

Cell and atoms:
Cell: 6.3641 5.9108 8.5643 Å, 90.00 102.36 90.00°
Space group P2_1 (No. 4)
Inequivalent atoms, fractional coordinates:
Ce 0.1577 0.0000 0.1868 [2 per cell]
Zr 0.3110 0.0106 0.7236 [2 per cell]
F 0.0523 0.6824 0.0243 [2 per cell]
F 0.0576 0.7957 0.7128 [2 per cell]
F 0.1187 0.2904 0.7166 [2 per cell]
F 0.2572 0.0060 0.4813 [2 per cell]
F 0.3569 0.0110 0.9673 [2 per cell]
F 0.4397 0.7325 0.2692 [2 per cell]
F 0.4625 0.2586 0.2586 [2 per cell]


For K6Sn2S7, DFT lattice parameters and positions (PBE) gives the simulated powder XRD pattern in this record (Cu Kα (weighted mean of Kα1 and Kα2)).
Kinematic intensities with the Lorentz-polarization factor, no thermal factor.

Most intense lines, 2θ from 5° to 70°, by intensity:
d 6.413, I = 100, (0 1 2)
d 3.476, I = 93, (2 2 2)
d 5.507, I = 76, (1 2 0)
d 7.900, I = 58, (1 1 0)
d 3.536, I = 58, (1 3 2)
d 3.325, I = 55, (0 4 0)

Cell and atoms:
Cell: 9.8185 13.3036 14.6388 Å, 90.00 90.00 90.00°
Space group P2_12_12_1 (No. 19)
Inequivalent atoms, fractional coordinates:
K 0.0271 0.1606 0.1869 [4 per cell]
K 0.0613 0.8178 0.8841 [4 per cell]
K 0.1388 0.5702 0.0854 [4 per cell]
K 0.1449 0.6542 0.6374 [4 per cell]
K 0.2204 0.8587 0.4365 [4 per cell]
K 0.2458 0.1089 0.6331 [4 per cell]
Sn 0.0759 0.3923 0.8572 [4 per cell]
Sn 0.1226 0.3913 0.3819 [4 per cell]
S 0.0165 0.5060 0.4878 [4 per cell]
S 0.0279 0.4084 0.2330 [4 per cell]
S 0.0933 0.3241 0.0077 [4 per cell]
S 0.1187 0.2239 0.4433 [4 per cell]
S 0.1261 0.5765 0.8612 [4 per cell]
S 0.1581 0.8915 0.6864 [4 per cell]
S 0.2160 0.3033 0.7507 [4 per cell]


For SiO2, DFT lattice parameters and positions (PBE) gives the simulated powder XRD pattern in this record (Cu Kα (weighted mean of Kα1 and Kα2)).
Kinematic intensities with the Lorentz-polarization factor, no thermal factor.

Most intense lines, 2θ from 5° to 70°, by intensity:
d 4.223, I = 100, (0 2 0)
d 3.483, I = 63, (2 0 0)
d 4.120, I = 48, (1 1 -1)
d 3.566, I = 29, (1 1 1)
d 2.706, I = 23, (0 0 2)
d 1.359, I = 13, (1 1 -4)

Cell and atoms:
Cell: 7.0902 8.4461 5.5068 Å, 90.00 100.70 90.00°
Space group C2 (No. 5)
Inequivalent atoms, fractional coordinates:
Si 0.2132 0.0000 0.2875 [4 per cell]
Si 0.2282 0.8738 0.7909 [4 per cell]
O 0.9995 0.9205 0.2498 [4 per cell]
O 0.1803 0.4190 0.9222 [4 per cell]
O 0.1855 0.4694 0.4242 [4 per cell]
O 0.2207 0.1892 0.2426 [4 per cell]